For KMnAgSe2, a DFT-relaxed cell (PBE, Alexandria) gives the calculated powder X-ray diffraction pattern in this record (copper Kα).
Intensities are scaled so that the largest is 100.

Structure:
Unit cell a=7.787 b=7.787 c=6.197 alpha=90.00 beta=90.00 gamma=132.95
Element x y z (fractional)
K 0.250 0.750 0.762
K 0.750 0.250 0.238
Mn 0.250 0.250 0.500
Mn 0.750 0.750 0.500
Ag 0.000 0.000 0.000
Ag 0.500 0.500 0.000
Se 0.116 0.884 0.301
Se 0.384 0.616 0.301
Se 0.616 0.384 0.699
Se 0.884 0.116 0.699

Main lines, by angle (15° ≤ 2θ ≤ 90°):
two_theta	d (Å)	I/Imax
27.6	3.226	100
28.7	3.108	55
31.5	2.843	52
34.6	2.589	52
38.5	2.340	51
41.2	2.193	68



For KAgMo, a DFT-relaxed cell (PBE, Alexandria) gives the calculated powder X-ray diffraction pattern in this record (copper Kα).
Intensities are scaled so that the largest is 100.

Structure:
Unit cell a=9.513 b=3.197 c=10.464 alpha=90.00 beta=90.00 gamma=90.00
Element x y z (fractional)
K 0.080 0.250 0.165
K 0.420 0.750 0.665
K 0.580 0.250 0.335
K 0.920 0.750 0.835
Ag 0.240 0.250 0.883
Ag 0.260 0.750 0.383
Ag 0.740 0.250 0.617
Ag 0.760 0.750 0.117
Mo 0.076 0.250 0.541
Mo 0.424 0.750 0.041
Mo 0.576 0.250 0.959
Mo 0.924 0.750 0.459

Main lines, by angle (15° ≤ 2θ ≤ 90°):
two_theta	d (Å)	I/Imax
19.4	4.585	52
27.2	3.275	47
33.0	2.712	100
38.2	2.357	44
39.4	2.289	72
41.0	2.201	70



For K6NaAg, a DFT-relaxed cell (PBE, Alexandria) gives the calculated powder X-ray diffraction pattern in this record (copper Kα).
Intensities are scaled so that the largest is 100.

Structure:
Unit cell a=4.947 b=13.152 c=14.544 alpha=90.00 beta=90.00 gamma=90.00
Element x y z (fractional)
K 0.000 0.000 0.000
K 0.000 0.165 0.724
K 0.000 0.335 0.224
K 0.000 0.500 0.500
K 0.000 0.665 0.224
K 0.000 0.835 0.724
K 0.500 0.000 0.253
K 0.500 0.228 0.481
K 0.500 0.272 0.981
K 0.500 0.500 0.753
K 0.500 0.728 0.981
K 0.500 0.772 0.481
Na 0.000 0.000 0.487
Na 0.000 0.500 0.987
Ag 0.500 0.000 0.615
Ag 0.500 0.500 0.115

Main lines, by angle (15° ≤ 2θ ≤ 90°):
two_theta	d (Å)	I/Imax
19.5	4.549	24
20.1	4.412	32
25.6	3.473	100
26.6	3.348	42
27.4	3.252	33
27.9	3.201	26



For K2Na17Ag2, a DFT-relaxed cell (PBE, Alexandria) gives the calculated powder X-ray diffraction pattern in this record (copper Kα).
Intensities are scaled so that the largest is 100.

Structure:
Unit cell a=9.480 b=9.480 c=9.434 alpha=98.20 beta=98.20 gamma=81.64
Element x y z (fractional)
K 0.174 0.174 0.353
K 0.826 0.826 0.647
Na 0.000 0.500 0.000
Na 0.159 0.662 0.340
Na 0.162 0.838 0.000
Na 0.164 0.164 0.827
Na 0.232 0.519 0.745
Na 0.338 0.841 0.660
Na 0.398 0.398 0.099
Na 0.481 0.768 0.255
Na 0.500 0.000 0.000
Na 0.500 0.500 0.500
Na 0.519 0.232 0.745
Na 0.602 0.602 0.901
Na 0.662 0.159 0.340
Na 0.768 0.481 0.255
Na 0.836 0.836 0.173
Na 0.838 0.162 0.000
Na 0.841 0.338 0.660
Ag 0.000 0.500 0.500
Ag 0.500 0.000 0.500

Main lines, by angle (15° ≤ 2θ ≤ 90°):
two_theta	d (Å)	I/Imax
17.2	5.154	27
19.1	4.647	17
24.0	3.713	16
28.8	3.098	100
34.8	2.577	14
41.1	2.194	20



For K4NaAg, a DFT-relaxed cell (PBE, Alexandria) gives the calculated powder X-ray diffraction pattern in this record (copper Kα).
Intensities are scaled so that the largest is 100.

Structure:
Unit cell a=9.865 b=9.865 c=7.464 alpha=101.10 beta=101.10 gamma=112.00
Element x y z (fractional)
K 0.063 0.723 0.940
K 0.199 0.357 0.638
K 0.277 0.937 0.560
K 0.357 0.199 0.138
K 0.643 0.801 0.862
K 0.723 0.063 0.440
K 0.801 0.643 0.362
K 0.937 0.277 0.060
Na 0.378 0.622 0.250
Na 0.622 0.378 0.750
Ag 0.001 0.999 0.250
Ag 0.999 0.001 0.750

Main lines, by angle (15° ≤ 2θ ≤ 90°):
two_theta	d (Å)	I/Imax
27.0	3.305	54
27.6	3.226	100
28.6	3.120	61
29.0	3.080	76
30.1	2.968	49
30.6	2.917	44



For K4Na2Ag, a DFT-relaxed cell (PBE, Alexandria) gives the calculated powder X-ray diffraction pattern in this record (copper Kα).
Intensities are scaled so that the largest is 100.

Structure:
Unit cell a=6.538 b=6.538 c=19.373 alpha=90.00 beta=90.00 gamma=90.00
Element x y z (fractional)
K 0.000 0.000 0.178
K 0.000 0.000 0.822
K 0.000 0.500 0.000
K 0.000 0.500 0.500
K 0.500 0.000 0.000
K 0.500 0.000 0.500
K 0.500 0.500 0.322
K 0.500 0.500 0.678
Na 0.000 0.000 0.379
Na 0.000 0.000 0.621
Na 0.500 0.500 0.121
Na 0.500 0.500 0.879
Ag 0.000 0.000 0.000
Ag 0.500 0.500 0.500

Main lines, by angle (15° ≤ 2θ ≤ 90°):
two_theta	d (Å)	I/Imax
19.2	4.623	57
26.7	3.334	93
27.3	3.269	100
38.6	2.334	65
39.0	2.311	36
39.2	2.297	46